This entry pairs a crystal structure of KAs2Ru with its theoretical X-ray powder pattern. Radiation: Cu Kα (weighted mean of Kα1 and Kα2). Structure: a PBE-relaxed structure.
No peak broadening, texture or thermal motion is included.

```
data_KAs2Ru
_chemical_formula_sum 'K2 As4 Ru2'
_cell_length_a 7.571
_cell_length_b 3.619
_cell_length_c 7.410
_cell_angle_alpha 90.00
_cell_angle_beta 112.11
_cell_angle_gamma 90.00
_space_group_name_H-M_alt 'P 1'
_space_group_IT_number 1
loop_
_space_group_symop_operation_xyz
'x,y,z'
loop_
_atom_site_label
_atom_site_type_symbol
_atom_site_fract_x
_atom_site_fract_y
_atom_site_fract_z
K1 K 0.000 0.000 0.000
K2 K 0.500 0.500 0.000
As1 As 0.170 0.000 0.651
As2 As 0.446 0.000 0.364
As3 As 0.670 0.500 0.651
As4 As 0.946 0.500 0.364
Ru1 Ru 0.286 0.500 0.460
Ru2 Ru 0.786 0.000 0.460
```

Largest 10 diffraction maxima, sorted by position, 2θ = 10–90°:
- d = 6.865 Å, I = 100.0
- d = 3.127 Å, I = 18.7
- d = 2.735 Å, I = 35.5
- d = 2.580 Å, I = 48.8
- d = 2.069 Å, I = 30.8
- d = 2.038 Å, I = 16.3
- d = 1.964 Å, I = 13.4
- d = 1.810 Å, I = 11.2
- d = 1.749 Å, I = 10.3
- d = 1.510 Å, I = 10.0



This entry pairs a crystal structure of K2AsRu with its theoretical X-ray powder pattern. Radiation: Cu Kα (weighted mean of Kα1 and Kα2). Structure: a PBE-relaxed structure.
No peak broadening, texture or thermal motion is included.

```
data_K2AsRu
_chemical_formula_sum 'K4 As2 Ru2'
_cell_length_a 7.169
_cell_length_b 4.149
_cell_length_c 9.839
_cell_angle_alpha 90.00
_cell_angle_beta 103.31
_cell_angle_gamma 90.00
_space_group_name_H-M_alt 'P 1'
_space_group_IT_number 1
loop_
_space_group_symop_operation_xyz
'x,y,z'
loop_
_atom_site_label
_atom_site_type_symbol
_atom_site_fract_x
_atom_site_fract_y
_atom_site_fract_z
K1 K 0.000 0.000 0.000
K2 K 0.167 0.000 0.531
K3 K 0.500 0.500 0.000
K4 K 0.667 0.500 0.531
As1 As 0.250 0.500 0.265
As2 As 0.750 0.000 0.265
Ru1 Ru 0.416 0.000 0.266
Ru2 Ru 0.916 0.500 0.266
```

Largest 10 diffraction maxima, sorted by position, 2θ = 10–90°:
- d = 4.787 Å, I = 41.4
- d = 3.220 Å, I = 63.8
- d = 3.191 Å, I = 100.0
- d = 3.059 Å, I = 39.5
- d = 3.036 Å, I = 79.4
- d = 2.711 Å, I = 47.7
- d = 2.394 Å, I = 46.1
- d = 2.072 Å, I = 92.4
- d = 2.028 Å, I = 53.8
- d = 1.739 Å, I = 32.3



This entry pairs a crystal structure of KAsS3 with its theoretical X-ray powder pattern. Radiation: Cu Kα (weighted mean of Kα1 and Kα2). Structure: a PBE-relaxed structure.
No peak broadening, texture or thermal motion is included.

```
data_KAsS3
_chemical_formula_sum 'K2 As2 S6'
_cell_length_a 4.682
_cell_length_b 7.942
_cell_length_c 7.832
_cell_angle_alpha 90.00
_cell_angle_beta 100.60
_cell_angle_gamma 90.00
_space_group_name_H-M_alt 'P 1'
_space_group_IT_number 1
loop_
_space_group_symop_operation_xyz
'x,y,z'
loop_
_atom_site_label
_atom_site_type_symbol
_atom_site_fract_x
_atom_site_fract_y
_atom_site_fract_z
K1 K 0.054 0.000 0.181
K2 K 0.946 0.500 0.819
As1 As 0.287 0.997 0.756
As2 As 0.713 0.497 0.244
S1 S 0.096 0.357 0.433
S2 S 0.405 0.540 0.452
S3 S 0.495 0.800 0.926
S4 S 0.505 0.300 0.074
S5 S 0.595 0.040 0.548
S6 S 0.904 0.857 0.567
```

Largest 10 diffraction maxima, sorted by position, 2θ = 10–90°:
- d = 5.528 Å, I = 88.5
- d = 4.315 Å, I = 21.0
- d = 3.975 Å, I = 92.7
- d = 3.327 Å, I = 52.7
- d = 3.018 Å, I = 100.0
- d = 2.764 Å, I = 34.5
- d = 2.693 Å, I = 60.1
- d = 2.569 Å, I = 24.2
- d = 1.844 Å, I = 27.6
- d = 1.747 Å, I = 27.5



This entry pairs a crystal structure of K4AsS4 with its theoretical X-ray powder pattern. Radiation: Cu Kα (weighted mean of Kα1 and Kα2). Structure: a PBE-relaxed structure.
No peak broadening, texture or thermal motion is included.

```
data_K4AsS4
_chemical_formula_sum 'K4 As1 S4'
_cell_length_a 8.311
_cell_length_b 8.311
_cell_length_c 8.311
_cell_angle_alpha 126.80
_cell_angle_beta 126.80
_cell_angle_gamma 78.57
_space_group_name_H-M_alt 'P 1'
_space_group_IT_number 1
loop_
_space_group_symop_operation_xyz
'x,y,z'
loop_
_atom_site_label
_atom_site_type_symbol
_atom_site_fract_x
_atom_site_fract_y
_atom_site_fract_z
K1 K 0.000 0.500 0.500
K2 K 0.205 0.205 0.000
K3 K 0.500 0.000 0.500
K4 K 0.795 0.795 0.000
As1 As 0.500 0.500 0.000
S1 S 0.211 0.574 0.000
S2 S 0.426 0.426 0.637
S3 S 0.574 0.211 0.000
S4 S 0.789 0.789 0.363
```

Largest 10 diffraction maxima, sorted by position, 2θ = 10–90°:
- d = 6.440 Å, I = 100.0
- d = 5.263 Å, I = 23.7
- d = 4.073 Å, I = 44.9
- d = 3.718 Å, I = 48.8
- d = 3.221 Å, I = 19.6
- d = 2.630 Å, I = 81.3
- d = 2.434 Å, I = 57.9
- d = 1.859 Å, I = 24.5
- d = 1.664 Å, I = 25.7
- d = 1.610 Å, I = 24.0



This entry pairs a crystal structure of K3AsS with its theoretical X-ray powder pattern. Radiation: Cu Kα (weighted mean of Kα1 and Kα2). Structure: a PBE-relaxed structure.
No peak broadening, texture or thermal motion is included.

```
data_K3AsS
_chemical_formula_sum 'K6 As2 S2'
_cell_length_a 8.444
_cell_length_b 8.444
_cell_length_c 9.821
_cell_angle_alpha 97.39
_cell_angle_beta 97.39
_cell_angle_gamma 30.48
_space_group_name_H-M_alt 'P 1'
_space_group_IT_number 1
loop_
_space_group_symop_operation_xyz
'x,y,z'
loop_
_atom_site_label
_atom_site_type_symbol
_atom_site_fract_x
_atom_site_fract_y
_atom_site_fract_z
K1 K 0.058 0.058 0.137
K2 K 0.234 0.234 0.847
K3 K 0.403 0.403 0.382
K4 K 0.597 0.597 0.618
K5 K 0.766 0.766 0.153
K6 K 0.942 0.942 0.863
As1 As 0.214 0.214 0.466
As2 As 0.786 0.786 0.534
S1 S 0.391 0.391 0.079
S2 S 0.609 0.609 0.921
```

Largest 10 diffraction maxima, sorted by position, 2θ = 10–90°:
- d = 8.075 Å, I = 59.1
- d = 5.844 Å, I = 60.2
- d = 4.867 Å, I = 30.4
- d = 3.320 Å, I = 100.0
- d = 2.712 Å, I = 26.8
- d = 2.694 Å, I = 56.4
- d = 2.612 Å, I = 53.9
- d = 2.543 Å, I = 50.9
- d = 2.460 Å, I = 28.1
- d = 2.220 Å, I = 54.4



This entry pairs a crystal structure of K2TeAsS with its theoretical X-ray powder pattern. Radiation: Cu Kα (weighted mean of Kα1 and Kα2). Structure: a PBE-relaxed structure.
No peak broadening, texture or thermal motion is included.

```
data_K2TeAsS
_chemical_formula_sum 'K2 Te1 As1 S1'
_cell_length_a 6.609
_cell_length_b 6.609
_cell_length_c 5.285
_cell_angle_alpha 90.00
_cell_angle_beta 90.00
_cell_angle_gamma 90.00
_space_group_name_H-M_alt 'P 1'
_space_group_IT_number 1
loop_
_space_group_symop_operation_xyz
'x,y,z'
loop_
_atom_site_label
_atom_site_type_symbol
_atom_site_fract_x
_atom_site_fract_y
_atom_site_fract_z
K1 K 0.000 0.500 0.000
K2 K 0.500 0.000 0.000
Te1 Te 0.000 0.000 0.000
As1 As 0.000 0.000 0.500
S1 S 0.500 0.500 0.500
```

Largest 10 diffraction maxima, sorted by position, 2θ = 10–90°:
- d = 6.609 Å, I = 100.0
- d = 4.673 Å, I = 38.8
- d = 3.304 Å, I = 72.2
- d = 2.956 Å, I = 29.5
- d = 2.643 Å, I = 19.3
- d = 2.454 Å, I = 17.8
- d = 2.337 Å, I = 26.8
- d = 2.064 Å, I = 36.4
- d = 1.970 Å, I = 18.8
- d = 1.750 Å, I = 21.2



This entry pairs a crystal structure of KTl2AsS4 with its theoretical X-ray powder pattern. Radiation: Cu Kα (weighted mean of Kα1 and Kα2). Structure: a PBE-relaxed structure.
No peak broadening, texture or thermal motion is included.

```
data_KTl2AsS4
_chemical_formula_sum 'K2 Tl4 As2 S8'
_cell_length_a 8.544
_cell_length_b 8.544
_cell_length_c 8.544
_cell_angle_alpha 122.54
_cell_angle_beta 90.47
_cell_angle_gamma 116.99
_space_group_name_H-M_alt 'P 1'
_space_group_IT_number 1
loop_
_space_group_symop_operation_xyz
'x,y,z'
loop_
_atom_site_label
_atom_site_type_symbol
_atom_site_fract_x
_atom_site_fract_y
_atom_site_fract_z
K1 K 0.000 0.000 0.000
K2 K 0.000 0.500 0.500
Tl1 Tl 0.466 0.479 0.487
Tl2 Tl 0.529 0.029 0.500
Tl3 Tl 0.529 0.529 0.000
Tl4 Tl 0.992 0.979 0.513
As1 As 0.099 0.561 0.038
As2 As 0.524 0.061 0.962
S1 S 0.248 0.497 0.806
S2 S 0.248 0.942 0.251
S3 S 0.254 0.530 0.224
S4 S 0.305 0.030 0.776
S5 S 0.691 0.442 0.194
S6 S 0.691 0.997 0.749
S7 S 0.702 0.469 0.733
S8 S 0.736 0.969 0.267
```

Largest 10 diffraction maxima, sorted by position, 2θ = 10–90°:
- d = 7.171 Å, I = 70.6
- d = 6.784 Å, I = 20.7
- d = 3.730 Å, I = 32.1
- d = 3.586 Å, I = 54.4
- d = 3.564 Å, I = 22.0
- d = 3.392 Å, I = 53.4
- d = 3.023 Å, I = 100.0
- d = 3.009 Å, I = 46.7
- d = 2.132 Å, I = 59.8
- d = 2.053 Å, I = 26.2



This entry pairs a crystal structure of K2TmAsS4 with its theoretical X-ray powder pattern. Radiation: Cu Kα (weighted mean of Kα1 and Kα2). Structure: a PBE-relaxed structure.
No peak broadening, texture or thermal motion is included.

```
data_K2TmAsS4
_chemical_formula_sum 'K4 Tm2 As2 S8'
_cell_length_a 8.188
_cell_length_b 8.188
_cell_length_c 8.188
_cell_angle_alpha 120.14
_cell_angle_beta 119.87
_cell_angle_gamma 89.99
_space_group_name_H-M_alt 'P 1'
_space_group_IT_number 1
loop_
_space_group_symop_operation_xyz
'x,y,z'
loop_
_atom_site_label
_atom_site_type_symbol
_atom_site_fract_x
_atom_site_fract_y
_atom_site_fract_z
K1 K 0.000 0.000 0.000
K2 K 0.500 0.000 0.000
K3 K 0.500 0.000 0.500
K4 K 0.500 0.500 0.500
Tm1 Tm 0.000 0.500 0.500
Tm2 Tm 0.500 0.500 0.000
As1 As 0.000 0.000 0.500
As2 As 0.000 0.500 0.000
S1 S 0.198 0.735 0.462
S2 S 0.227 0.265 0.962
S3 S 0.230 0.260 0.529
S4 S 0.230 0.701 0.971
S5 S 0.770 0.299 0.029
S6 S 0.770 0.740 0.471
S7 S 0.773 0.735 0.038
S8 S 0.802 0.265 0.538
```

Largest 10 diffraction maxima, sorted by position, 2θ = 10–90°:
- d = 6.679 Å, I = 59.3
- d = 3.493 Å, I = 23.6
- d = 3.343 Å, I = 38.2
- d = 2.895 Å, I = 100.0
- d = 2.228 Å, I = 16.8
- d = 2.048 Å, I = 55.6
- d = 2.043 Å, I = 11.4
- d = 1.747 Å, I = 15.6
- d = 1.669 Å, I = 11.2
- d = 1.295 Å, I = 16.6